Calculated powder X-ray diffraction pattern of Ce8TcPb3 for CuKα, from a structure optimized by DFT (GGA-PBE).
Peak positions follow from Bragg's law for the DFT cell and can differ from measured ones.

The 8 most intense peaks (2θ from 5° to 70°), by angle:
2θ = 30.3°, I 90, (0 4 0); 2θ = 30.9°, I 60, (2 2 -2); 2θ = 32.3°, I 90, (0 0 2); 2θ = 33.3°, I 64, (3 3 -1); 2θ = 34.2°, I 53, (4 0 -2); 2θ = 34.9°, I 92, (2 2 1); 2θ = 35.7°, I 60, (0 2 2); 2θ = 36.2°, I 100, (4 2 -1)

```
data_Ce8TcPb3
_chemical_formula_sum 'Ce16 Tc2 Pb6'
_space_group_name_H-M_alt 'C 1 m 1'
_space_group_IT_number 8
_space_group_name_Hall 'C -2y'
_cell_length_a 11.0709
_cell_length_b 11.7920
_cell_length_c 6.6518
_cell_angle_alpha 90.00
_cell_angle_beta 123.40
_cell_angle_gamma 90.00
loop_
_atom_site_label
_atom_site_type_symbol
_atom_site_fract_x
_atom_site_fract_y
_atom_site_fract_z
Ce1 Ce 0.0000 0.0000 0.0000
Ce2 Ce 0.0289 0.1550 0.5311
Ce3 Ce 0.1121 0.5000 0.5727
Ce4 Ce 0.1494 0.5000 0.0423
Ce5 Ce 0.1879 0.2590 0.3549
Ce6 Ce 0.3326 0.0000 0.0815
Tc1 Tc 0.3289 0.5000 0.5166
Pb1 Pb 0.3021 0.0000 0.5547
Pb2 Pb 0.3122 0.2772 0.9646
```



Calculated powder X-ray diffraction pattern of Sm3Y3Mg for CuKα, from a structure optimized by DFT (GGA-PBE).
Peak positions follow from Bragg's law for the DFT cell and can differ from measured ones.

The 8 most intense peaks (2θ from 5° to 70°), by angle:
2θ = 28.5°, I 28, (1 2 0); 2θ = 31.6°, I 25, (0 0 2); 2θ = 32.7°, I 100, (1 2 1); 2θ = 43.1°, I 18, (1 2 2); 2θ = 50.5°, I 19, (4 1 0); 2θ = 57.0°, I 20, (1 2 3); 2θ = 60.8°, I 22, (4 1 2); 2θ = 61.5°, I 16, (2 4 1)

```
data_Sm3Y3Mg
_chemical_formula_sum 'Sm6 Y6 Mg2'
_space_group_name_H-M_alt 'P 63/m'
_space_group_IT_number 176
_space_group_name_Hall '-P 6c'
_cell_length_a 9.5548
_cell_length_b 9.5548
_cell_length_c 5.6644
_cell_angle_alpha 90.00
_cell_angle_beta 90.00
_cell_angle_gamma 120.00
loop_
_atom_site_label
_atom_site_type_symbol
_atom_site_fract_x
_atom_site_fract_y
_atom_site_fract_z
Sm1 Sm 0.1030 0.6263 0.2500
Y1 Y 0.0560 0.8161 0.7500
Mg1 Mg 0.3333 0.6667 0.7500
```



Calculated powder X-ray diffraction pattern of BSbS3 for CuKα, from a structure optimized by DFT (GGA-PBE).
Peak positions follow from Bragg's law for the DFT cell and can differ from measured ones.

The 8 most intense peaks (2θ from 5° to 70°), by angle:
2θ = 13.2°, I 100, (0 1 1); 2θ = 15.9°, I 26, (1 1 0); 2θ = 19.9°, I 60, (0 0 2); 2θ = 24.1°, I 80, (1 2 1); 2θ = 25.6°, I 36, (1 1 2); 2θ = 30.0°, I 45, (2 1 1); 2θ = 37.5°, I 33, (1 2 3); 2θ = 49.3°, I 34, (2 4 2)

```
data_BSbS3
_chemical_formula_sum 'B4 Sb4 S12'
_space_group_name_H-M_alt 'I m a 2'
_space_group_IT_number 46
_space_group_name_Hall 'I 2 -2a'
_cell_length_a 6.6375
_cell_length_b 10.2695
_cell_length_c 8.9044
_cell_angle_alpha 90.00
_cell_angle_beta 90.00
_cell_angle_gamma 90.00
loop_
_atom_site_label
_atom_site_type_symbol
_atom_site_fract_x
_atom_site_fract_y
_atom_site_fract_z
B1 B 0.2500 0.1874 0.0000
Sb1 Sb 0.2500 0.6233 0.6075
S1 S 0.0226 0.2182 0.5380
S2 S 0.2500 0.0306 0.8999
```